Entry 1:
For BaPmDy4S8, a DFT-relaxed cell (PBE, Alexandria) gives the simulated powder XRD pattern in this record (Cu Kα, 1.54184 Å).

```
data_BaPmDy4S8
_chemical_formula_sum 'Ba3 Pm3 Dy12 S24'
_cell_length_a 8.2431
_cell_length_b 8.2431
_cell_length_c 20.4498
_cell_angle_alpha 90.00
_cell_angle_beta 90.00
_cell_angle_gamma 120.00
_symmetry_space_group_name_H-M 'R 3 m'
_symmetry_Int_Tables_number 160
_symmetry_space_group_name_Hall 'R 3 -2"'
loop_
_atom_site_label
_atom_site_type_symbol
_atom_site_fract_x
_atom_site_fract_y
_atom_site_fract_z
Ba1 Ba 0.0000 0.0000 0.0000
Pm1 Pm 0.0000 0.0000 0.6285
Dy1 Dy 0.0000 0.0000 0.2519
Dy2 Dy 0.1689 0.3378 0.4594
S1 S 0.0000 0.0000 0.3839
S2 S 0.0000 0.0000 0.8581
S3 S 0.0437 0.5218 0.3852
S4 S 0.1740 0.3480 0.2057
```

The 10 most intense peaks (10 to 90 degrees two-theta), by angle:
Position (°2θ)  I (rel.)  h k l
21.4  19  1 0 4
25.1  32  0 1 5
25.3  100  0 2 1
30.5  27  0 2 4
39.9  15  0 2 7
40.0  24  1 2 5
40.1  20  0 3 3
43.5  39  2 0 8
43.9  38  2 2 0
61.0  16  4 1 3


Entry 2:
For Ba3Pm3DySe8, a DFT-relaxed cell (PBE, Alexandria) gives the simulated powder XRD pattern in this record (Cu Kα, 1.54184 Å).

```
data_Ba3Pm3DySe8
_chemical_formula_sum 'Ba9 Pm9 Dy3 Se24'
_cell_length_a 8.5870
_cell_length_b 8.5870
_cell_length_c 22.6780
_cell_angle_alpha 90.00
_cell_angle_beta 90.00
_cell_angle_gamma 120.00
_symmetry_space_group_name_H-M 'R -3 m'
_symmetry_Int_Tables_number 166
_symmetry_space_group_name_Hall '-R 3 2"'
loop_
_atom_site_label
_atom_site_type_symbol
_atom_site_fract_x
_atom_site_fract_y
_atom_site_fract_z
Ba1 Ba 0.0000 0.5000 0.0000
Pm1 Pm 0.0000 0.5000 0.5000
Dy1 Dy 0.0000 0.0000 0.5000
Se1 Se 0.0000 0.0000 0.2403
Se2 Se 0.0061 0.5031 0.2380
```

The 10 most intense peaks (10 to 90 degrees two-theta), by angle:
Position (°2θ)  I (rel.)  h k l
11.7  12  0 0 3
25.2  7  2 0 2
28.7  100  0 2 4
40.0  37  2 0 8
42.1  36  2 2 0
51.7  20  4 0 4
59.5  11  0 4 8
65.8  14  2 2 12
68.8  17  2 4 4
75.5  12  4 2 8


Entry 3:
For Ba2DyS3, a DFT-relaxed cell (PBE, Alexandria) gives the simulated powder XRD pattern in this record (Cu Kα, 1.54184 Å).

```
data_Ba2DyS3
_chemical_formula_sum 'Ba4 Dy2 S6'
_cell_length_a 4.2911
_cell_length_b 5.2164
_cell_length_c 16.6747
_cell_angle_alpha 90.00
_cell_angle_beta 90.00
_cell_angle_gamma 90.00
_symmetry_space_group_name_H-M 'I m m m'
_symmetry_Int_Tables_number 71
_symmetry_space_group_name_Hall '-I 2 2'
loop_
_atom_site_label
_atom_site_type_symbol
_atom_site_fract_x
_atom_site_fract_y
_atom_site_fract_z
Ba1 Ba 0.0000 0.0000 0.1495
Dy1 Dy 0.0000 0.0000 0.5000
S1 S 0.0000 0.0000 0.3381
S2 S 0.0000 0.5000 0.5000
```

The 10 most intense peaks (10 to 90 degrees two-theta), by angle:
Position (°2θ)  I (rel.)  h k l
23.4  62  0 1 3
26.2  71  1 0 3
26.9  100  1 1 0
32.2  33  0 0 6
34.4  34  0 2 0
42.4  45  1 1 6
43.8  36  1 2 3
47.8  21  0 2 6
54.0  20  2 0 6
55.4  23  2 2 0


Entry 4:
For Ba2Dy3S6, a DFT-relaxed cell (PBE, Alexandria) gives the simulated powder XRD pattern in this record (Cu Kα, 1.54184 Å).

```
data_Ba2Dy3S6
_chemical_formula_sum 'Ba4 Dy6 S12'
_cell_length_a 6.9925
_cell_length_b 12.1015
_cell_length_c 7.6463
_cell_angle_alpha 90.00
_cell_angle_beta 107.67
_cell_angle_gamma 90.00
_symmetry_space_group_name_H-M 'C 1 2/m 1'
_symmetry_Int_Tables_number 12
loop_
_symmetry_equiv_pos_as_xyz
'x,y,z'
'-x,-y,-z'
'-x,y,-z'
'x,-y,z'
'x+1/2,y+1/2,z'
'-x+1/2,-y+1/2,-z'
'-x+1/2,y+1/2,-z'
'x+1/2,-y+1/2,z'
loop_
_atom_site_label
_atom_site_type_symbol
_atom_site_fract_x
_atom_site_fract_y
_atom_site_fract_z
Ba1 Ba 0.0000 0.1672 0.0000
Dy1 Dy 0.0000 0.0000 0.5000
Dy2 Dy 0.0000 0.3352 0.5000
S1 S 0.2345 0.1676 0.7069
S2 S 0.2380 0.5000 0.7091
```

The 10 most intense peaks (10 to 90 degrees two-theta), by angle:
Position (°2θ)  I (rel.)  h k l
12.1  24  0 0 1
24.4  21  0 0 2
26.8  46  2 0 0
30.4  100  1 3 1
42.0  37  2 0 2
44.9  34  0 6 0
51.8  18  3 3 1
55.2  12  2 6 -2
69.5  15  3 3 -5
73.8  15  5 3 -3


Entry 5:
For BaDy2S4, a DFT-relaxed cell (PBE, Alexandria) gives the simulated powder XRD pattern in this record (Cu Kα, 1.54184 Å).

```
data_BaDy2S4
_chemical_formula_sum 'Ba4 Dy8 S16'
_cell_length_a 12.3261
_cell_length_b 4.0584
_cell_length_c 14.5796
_cell_angle_alpha 90.00
_cell_angle_beta 90.00
_cell_angle_gamma 90.00
_symmetry_space_group_name_H-M 'P n m a'
_symmetry_Int_Tables_number 62
loop_
_symmetry_equiv_pos_as_xyz
'x,y,z'
'-x,-y,-z'
'-x+1/2,-y,z+1/2'
'x+1/2,y,-z+1/2'
'x+1/2,-y+1/2,-z+1/2'
'-x+1/2,y+1/2,z+1/2'
'-x,y+1/2,-z'
'x,-y+1/2,z'
loop_
_atom_site_label
_atom_site_type_symbol
_atom_site_fract_x
_atom_site_fract_y
_atom_site_fract_z
Ba1 Ba 0.2421 0.2500 0.1616
Dy1 Dy 0.0673 0.2500 0.3914
Dy2 Dy 0.0787 0.2500 0.8982
S1 S 0.0227 0.7500 0.7831
S2 S 0.0808 0.2500 0.5770
S3 S 0.1238 0.7500 0.0233
S4 S 0.2071 0.7500 0.3366
```

The 10 most intense peaks (10 to 90 degrees two-theta), by angle:
Position (°2θ)  I (rel.)  h k l
24.4  45  0 0 4
24.9  100  3 0 2
26.2  70  1 1 2
26.3  35  2 1 0
29.6  33  1 1 3
36.2  51  2 1 4
36.6  28  4 1 0
44.1  33  6 0 0
44.5  27  4 1 4
51.8  28  3 2 2


Entry 6:
For BaTbDy4S8, a DFT-relaxed cell (PBE, Alexandria) gives the simulated powder XRD pattern in this record (Cu Kα, 1.54184 Å).

```
data_BaTbDy4S8
_chemical_formula_sum 'Ba3 Tb3 Dy12 S24'
_cell_length_a 8.2378
_cell_length_b 8.2378
_cell_length_c 20.2319
_cell_angle_alpha 90.00
_cell_angle_beta 90.00
_cell_angle_gamma 120.00
_symmetry_space_group_name_H-M 'R 3 m'
_symmetry_Int_Tables_number 160
_symmetry_space_group_name_Hall 'R 3 -2"'
loop_
_atom_site_label
_atom_site_type_symbol
_atom_site_fract_x
_atom_site_fract_y
_atom_site_fract_z
Ba1 Ba 0.0000 0.0000 0.0000
Tb1 Tb 0.0000 0.0000 0.6274
Dy1 Dy 0.0000 0.0000 0.2506
Dy2 Dy 0.1690 0.3380 0.4582
S1 S 0.0000 0.0000 0.3826
S2 S 0.0000 0.0000 0.8572
S3 S 0.0473 0.5236 0.3820
S4 S 0.1758 0.3516 0.2061
```

The 10 most intense peaks (10 to 90 degrees two-theta), by angle:
Position (°2θ)  I (rel.)  h k l
13.2  12  0 0 3
21.6  25  1 0 4
25.3  100  0 2 1
26.5  16  0 0 6
30.7  21  0 2 4
40.2  47  0 2 7
43.9  58  2 2 0
51.4  11  4 0 1
61.1  15  4 0 7
80.8  14  6 0 0


Entry 7:
For BaDy2Se4, a DFT-relaxed cell (PBE, Alexandria) gives the simulated powder XRD pattern in this record (Cu Kα, 1.54184 Å).

```
data_BaDy2Se4
_chemical_formula_sum 'Ba4 Dy8 Se16'
_cell_length_a 4.2163
_cell_length_b 13.7339
_cell_length_c 14.2963
_cell_angle_alpha 90.00
_cell_angle_beta 90.00
_cell_angle_gamma 90.00
_symmetry_space_group_name_H-M 'C m c m'
_symmetry_Int_Tables_number 63
_symmetry_space_group_name_Hall '-C 2c 2'
loop_
_atom_site_label
_atom_site_type_symbol
_atom_site_fract_x
_atom_site_fract_y
_atom_site_fract_z
Ba1 Ba 0.0000 0.1099 0.2500
Dy1 Dy 0.0000 0.3653 0.0666
Se1 Se 0.0000 0.0000 0.0000
Se2 Se 0.0000 0.2674 0.6115
Se3 Se 0.0000 0.4343 0.2500
```

The 10 most intense peaks (10 to 90 degrees two-theta), by angle:
Position (°2θ)  I (rel.)  h k l
22.7  85  0 2 3
28.1  41  0 2 4
28.8  38  1 3 0
29.5  100  1 3 1
31.4  81  1 3 2
38.6  53  1 1 5
42.9  40  2 0 0
43.7  45  1 5 3
43.9  36  0 6 3
63.0  24  2 6 3


Entry 8:
For BaDy4YSe8, a DFT-relaxed cell (PBE, Alexandria) gives the simulated powder XRD pattern in this record (Cu Kα, 1.54184 Å).

```
data_BaDy4YSe8
_chemical_formula_sum 'Ba3 Dy12 Y3 Se24'
_cell_length_a 8.6044
_cell_length_b 8.6044
_cell_length_c 21.1106
_cell_angle_alpha 90.00
_cell_angle_beta 90.00
_cell_angle_gamma 120.00
_symmetry_space_group_name_H-M 'R 3 m'
_symmetry_Int_Tables_number 160
_symmetry_space_group_name_Hall 'R 3 -2"'
loop_
_atom_site_label
_atom_site_type_symbol
_atom_site_fract_x
_atom_site_fract_y
_atom_site_fract_z
Ba1 Ba 0.0000 0.0000 0.0000
Dy1 Dy 0.0000 0.0000 0.2505
Dy2 Dy 0.1689 0.3377 0.4581
Y1 Y 0.0000 0.0000 0.6270
Se1 Se 0.0000 0.0000 0.3826
Se2 Se 0.0000 0.0000 0.8579
Se3 Se 0.0458 0.5229 0.3814
Se4 Se 0.1761 0.3521 0.2062
```

The 10 most intense peaks (10 to 90 degrees two-theta), by angle:
Position (°2θ)  I (rel.)  h k l
12.6  17  0 0 3
20.6  31  1 0 4
24.2  92  0 2 1
29.3  51  0 2 4
38.4  58  0 2 7
42.0  100  2 2 0
58.2  22  4 0 7
60.9  15  0 4 8
74.3  15  2 4 7
76.7  21  4 2 8


Entry 9:
For BaDyTl4, a DFT-relaxed cell (PBE, Alexandria) gives the simulated powder XRD pattern in this record (Cu Kα, 1.54184 Å).

```
data_BaDyTl4
_chemical_formula_sum 'Ba1 Dy1 Tl4'
_cell_length_a 5.1630
_cell_length_b 5.1630
_cell_length_c 8.5115
_cell_angle_alpha 90.00
_cell_angle_beta 90.00
_cell_angle_gamma 90.00
_symmetry_space_group_name_H-M 'P 4/m m m'
_symmetry_Int_Tables_number 123
_symmetry_space_group_name_Hall '-P 4 2'
loop_
_atom_site_label
_atom_site_type_symbol
_atom_site_fract_x
_atom_site_fract_y
_atom_site_fract_z
Ba1 Ba 0.0000 0.0000 0.0000
Dy1 Dy 0.5000 0.5000 0.5000
Tl1 Tl 0.0000 0.5000 0.2964
```

The 10 most intense peaks (10 to 90 degrees two-theta), by angle:
Position (°2θ)  I (rel.)  h k l
10.4  24  0 0 1
20.1  30  1 0 1
24.4  28  1 1 0
32.3  100  1 1 2
34.8  53  2 0 0
40.3  25  1 1 3
47.6  13  2 0 3
50.0  19  2 2 0
60.8  33  3 1 2
83.8  13  4 2 0


Entry 10:
For Ba4Er3F17, a DFT-relaxed cell (PBE, Alexandria) gives the simulated powder XRD pattern in this record (Cu Kα, 1.54184 Å).

```
data_Ba4Er3F17
_chemical_formula_sum 'Ba8 Er6 F34'
_cell_length_a 9.3284
_cell_length_b 9.3832
_cell_length_c 9.4510
_cell_angle_alpha 72.73
_cell_angle_beta 72.93
_cell_angle_gamma 73.04
_symmetry_space_group_name_H-M 'P 1'
_symmetry_Int_Tables_number 1
loop_
_symmetry_equiv_pos_as_xyz
'x,y,z'
loop_
_atom_site_label
_atom_site_type_symbol
_atom_site_fract_x
_atom_site_fract_y
_atom_site_fract_z
Ba1 Ba 0.0000 0.0000 0.0000
Ba2 Ba 0.0447 0.6226 0.7862
Ba3 Ba 0.4208 0.8444 0.6843
Ba4 Ba 0.4669 0.4679 0.4618
Ba5 Ba 0.6202 0.7829 0.0459
Ba6 Ba 0.6751 0.4195 0.8509
Ba7 Ba 0.7887 0.0527 0.6142
Ba8 Ba 0.8465 0.6783 0.4169
Er1 Er 0.1219 0.2697 0.5657
Er2 Er 0.2011 0.8991 0.3396
Er3 Er 0.2519 0.5516 0.1266
Er4 Er 0.3381 0.2065 0.8973
Er5 Er 0.5696 0.1289 0.2632
Er6 Er 0.9211 0.3474 0.1982
F1 F 0.0038 0.5730 0.1332
F2 F 0.0774 0.2831 0.9796
F3 F 0.0986 0.7766 0.2222
F4 F 0.1393 0.0460 0.5151
F5 F 0.1776 0.3166 0.2009
F6 F 0.1789 0.4824 0.3890
F7 F 0.1860 0.7469 0.9166
F8 F 0.2231 0.0977 0.7691
F9 F 0.2426 0.3716 0.6875
F10 F 0.2741 0.0054 0.0826
F11 F 0.2794 0.7283 0.5463
F12 F 0.3167 0.4433 0.9220
F13 F 0.3713 0.6989 0.2476
F14 F 0.3797 0.1947 0.4644
F15 F 0.4229 0.9573 0.3165
F16 F 0.4595 0.6403 0.9637
F17 F 0.4649 0.3840 0.1899
F18 F 0.5099 0.0025 0.8238
F19 F 0.5145 0.1597 0.0362
F20 F 0.5461 0.2807 0.7199
F21 F 0.5940 0.5952 0.5952
F22 F 0.6444 0.9561 0.4657
F23 F 0.6956 0.2451 0.3652
F24 F 0.7212 0.5463 0.2797
F25 F 0.7245 0.7344 0.7387
F26 F 0.7393 0.9212 0.1853
F27 F 0.7728 0.2205 0.0949
F28 F 0.8205 0.5093 0.0010
F29 F 0.8692 0.8768 0.8662
F30 F 0.9196 0.1876 0.7434
F31 F 0.9306 0.3310 0.4383
F32 F 0.9497 0.4696 0.6487
F33 F 0.9970 0.8222 0.5111
F34 F 0.9978 0.0868 0.2761
```

The 10 most intense peaks (10 to 90 degrees two-theta), by angle:
Position (°2θ)  I (rel.)  h k l
25.9  100  1 -1 2
26.0  49  2 1 -1
26.1  46  2 2 2
29.8  27  0 1 3
30.1  26  1 3 0
30.2  25  3 0 1
42.8  19  1 2 -3
43.0  54  2 -3 1
43.0  18  3 1 4
43.4  17  4 3 1


Entry 11:
For Ba3Er2O5F2, a DFT-relaxed cell (PBE, Alexandria) gives the simulated powder XRD pattern in this record (Cu Kα, 1.54184 Å).

```
data_Ba3Er2O5F2
_chemical_formula_sum 'Ba6 Er4 O10 F4'
_cell_length_a 4.4016
_cell_length_b 4.4016
_cell_length_c 22.6581
_cell_angle_alpha 90.00
_cell_angle_beta 90.00
_cell_angle_gamma 90.00
_symmetry_space_group_name_H-M 'I 4/m m m'
_symmetry_Int_Tables_number 139
_symmetry_space_group_name_Hall '-I 4 2'
loop_
_atom_site_label
_atom_site_type_symbol
_atom_site_fract_x
_atom_site_fract_y
_atom_site_fract_z
Ba1 Ba 0.0000 0.0000 0.0000
Ba2 Ba 0.0000 0.0000 0.1760
Er1 Er 0.0000 0.0000 0.4056
O1 O 0.0000 0.0000 0.5000
O2 O 0.0000 0.5000 0.1061
F1 F 0.0000 0.0000 0.2955
```

The 10 most intense peaks (10 to 90 degrees two-theta), by angle:
Position (°2θ)  I (rel.)  h k l
15.6  13  0 0 4
28.3  100  1 0 5
28.7  70  1 1 0
34.4  22  1 0 7
41.0  37  2 0 0
49.8  12  1 1 10
50.6  41  2 1 5
57.1  12  1 1 12
59.4  12  2 2 0
67.3  13  3 1 0


Entry 12:
For BaErO2F, a DFT-relaxed cell (PBE, Alexandria) gives the simulated powder XRD pattern in this record (Cu Kα, 1.54184 Å).

```
data_BaErO2F
_chemical_formula_sum 'Ba1 Er1 O2 F1'
_cell_length_a 4.4056
_cell_length_b 4.4056
_cell_length_c 4.5267
_cell_angle_alpha 90.00
_cell_angle_beta 90.00
_cell_angle_gamma 90.00
_symmetry_space_group_name_H-M 'P 4 m m'
_symmetry_Int_Tables_number 99
loop_
_symmetry_equiv_pos_as_xyz
'x,y,z'
'-y,x,z'
'-x,-y,z'
'y,-x,z'
'-x,y,z'
'y,x,z'
'x,-y,z'
'-y,-x,z'
loop_
_atom_site_label
_atom_site_type_symbol
_atom_site_fract_x
_atom_site_fract_y
_atom_site_fract_z
Ba1 Ba 0.0000 0.0000 0.0000
Er1 Er 0.5000 0.5000 0.4096
O1 O 0.0000 0.5000 0.3446
F1 F 0.5000 0.5000 0.8938
```

The 10 most intense peaks (10 to 90 degrees two-theta), by angle:
Position (°2θ)  I (rel.)  h k l
28.3  100  1 0 1
28.7  54  1 1 0
39.8  11  0 0 2
41.0  31  2 0 0
45.0  13  1 0 2
49.8  20  1 1 2
50.5  41  2 1 1
58.5  14  2 0 2
59.3  10  2 2 0
81.6  11  3 2 1